No. 1
Diffraction record for BaH4O3. The powder XRD pattern is computed, not measured: it uses a crystal structure in the Materials Project, relaxed with GGA-PBE and a wavelength of 1.5418 Å.

Most intense lines, 2θ from 10° to 90°, in order of rising 2θ:
Position (°2θ)  I/Imax  index
14.60  77  1 0 0
15.89  66  1 0 -1
24.84  100  0 1 1
25.70  56  1 1 0
26.32  49  0 0 2
26.47  53  1 1 -1
36.45  85  2 1 0
38.69  51  2 1 -2

Crystal structure
```
data_BaH4O3
_cell_length_a 6.4648
_cell_length_b 4.2244
_cell_length_c 7.2161
_cell_angle_alpha 90.00
_cell_angle_beta 110.22
_cell_angle_gamma 90.00
_space_group_name_H-M_alt 'P 1 21/m 1'
_space_group_IT_number 11
loop_
_space_group_symop_operation_xyz
'x,y,z'
'-x,-y,-z'
'-x,y+1/2,-z'
'x,-y+1/2,z'
loop_
_atom_site_label
_atom_site_type_symbol
_atom_site_fract_x
_atom_site_fract_y
_atom_site_fract_z
Ba1 Ba 0.1461 0.2500 0.2808
H1 H 0.2275 0.2500 0.8353
H2 H 0.3161 0.5609 0.6605
H3 H 0.3467 0.7500 0.0564
O1 O 0.1718 0.2500 0.6914
O2 O 0.2015 0.7500 0.0677
O3 O 0.3864 0.7500 0.6189
```

=====

No. 2
Diffraction record for BaH16O10. The powder XRD pattern is computed, not measured: it uses a crystal structure in the Materials Project, relaxed with GGA-PBE and a wavelength of 1.5418 Å.

Most intense lines, 2θ from 10° to 90°, in order of rising 2θ:
Position (°2θ)  I/Imax  index
13.64  62  0 1 0
15.47  59  0 0 2
19.34  41  1 1 0
20.68  62  1 0 2
24.86  100  1 1 2
31.69  52  0 2 2
37.00  42  1 1 4
44.12  42  1 3 0

Crystal structure
```
data_BaH16O10
_cell_length_a 6.4930
_cell_length_b 6.4878
_cell_length_c 11.4547
_cell_angle_alpha 90.00
_cell_angle_beta 90.09
_cell_angle_gamma 90.00
_space_group_name_H-M_alt 'P 1 c 1'
_space_group_IT_number 7
loop_
_space_group_symop_operation_xyz
'x,y,z'
'x,-y,z+1/2'
loop_
_atom_site_label
_atom_site_type_symbol
_atom_site_fract_x
_atom_site_fract_y
_atom_site_fract_z
Ba1 Ba 0.0000 0.0011 0.0000
H1 H 0.0455 0.4572 0.3739
H2 H 0.1561 0.3379 0.2136
H3 H 0.2783 0.4084 0.0985
H4 H 0.2842 0.3998 0.3937
H5 H 0.3378 0.1568 0.7841
H6 H 0.4022 0.2827 0.6015
H7 H 0.4047 0.2771 0.8999
H8 H 0.4600 0.0451 0.6239
H9 H 0.5374 0.0442 0.3733
H10 H 0.5946 0.2789 0.0999
H11 H 0.5993 0.2822 0.3927
H12 H 0.6654 0.1502 0.2135
H13 H 0.7228 0.4012 0.6037
H14 H 0.7232 0.4031 0.8958
H15 H 0.8503 0.3281 0.7825
H16 H 0.9639 0.4470 0.6250
O1 O 0.1413 0.3516 0.1269
O2 O 0.1468 0.3418 0.3656
O3 O 0.3448 0.1464 0.6320
O4 O 0.3455 0.1405 0.8710
O5 O 0.5016 0.4979 0.9349
O6 O 0.5023 0.5005 0.0613
O7 O 0.6543 0.1407 0.1264
O8 O 0.6541 0.1440 0.3640
O9 O 0.8565 0.3369 0.6330
O10 O 0.8611 0.3450 0.8693
```